# 1
Starting from a structure optimized by DFT (GGA-PBE), the XRD peak list of Cs2PbS3 was simulated for Cu Kα, 1.54184 Å.
Intensities are scaled so that the largest is 100.

Atomic structure:
```
data_Cs2PbS3
_symmetry_space_group_name_H-M 'C 1 2/c 1'
_symmetry_Int_Tables_number 15
_symmetry_space_group_name_Hall '-C 2yc'
_cell_length_a 13.346
_cell_length_b 9.048
_cell_length_c 7.492
_cell_angle_alpha 90.00
_cell_angle_beta 100.09
_cell_angle_gamma 90.00
loop_
_atom_site_label
_atom_site_type_symbol
_atom_site_fract_x
_atom_site_fract_y
_atom_site_fract_z
_atom_site_occupancy
Cs1 Cs 0.159 0.157 0.190 1
Pb1 Pb 0.000 0.417 0.750 1
S1 S 0.000 0.144 0.750 1
S2 S 0.132 0.459 0.487 1
```

Peak list (6 most intense, 10 to 90 degrees two-theta, by intensity)
23.1 deg, 3.856 Å, I = 100, hkl 0 2 1
23.9 deg, 3.729 Å, I = 90, hkl 3 1 -1
30.5 deg, 2.935 Å, I = 57, hkl 3 1 -2
27.3 deg, 3.269 Å, I = 55, hkl 3 1 1
11.9 deg, 7.452 Å, I = 50, hkl 1 1 0
22.6 deg, 3.942 Å, I = 47, hkl 3 1 0



# 2
Starting from a structure optimized by DFT (GGA-PBE), the XRD peak list of Cs2PbS2 was simulated for Cu Kα, 1.54184 Å.
Intensities are scaled so that the largest is 100.

Atomic structure:
```
data_Cs2PbS2
_symmetry_space_group_name_H-M 'P 1 21/c 1'
_symmetry_Int_Tables_number 14
_symmetry_space_group_name_Hall '-P 2ybc'
_cell_length_a 11.105
_cell_length_b 9.078
_cell_length_c 8.700
_cell_angle_alpha 90.00
_cell_angle_beta 106.13
_cell_angle_gamma 90.00
loop_
_atom_site_label
_atom_site_type_symbol
_atom_site_fract_x
_atom_site_fract_y
_atom_site_fract_z
_atom_site_occupancy
Cs1 Cs 0.035 0.237 0.017 1
Cs2 Cs 0.327 0.650 0.998 1
Pb1 Pb 0.355 0.122 0.926 1
S1 S 0.152 0.538 0.281 1
S2 S 0.459 0.531 0.695 1
```

Peak list (6 most intense, 10 to 90 degrees two-theta, by intensity)
24.8 deg, 3.583 Å, I = 100, hkl 1 2 1
21.3 deg, 4.178 Å, I = 87, hkl 0 0 2
25.0 deg, 3.557 Å, I = 64, hkl 3 0 0
29.7 deg, 3.005 Å, I = 64, hkl 2 2 1
26.1 deg, 3.419 Å, I = 62, hkl 2 2 -1
22.8 deg, 3.908 Å, I = 43, hkl 1 2 -1



# 3
Starting from a structure optimized by DFT (GGA-PBE), the XRD peak list of Cs2Pb2S3 was simulated for Cu Kα, 1.54184 Å.
Intensities are scaled so that the largest is 100.

Atomic structure:
```
data_Cs2Pb2S3
_symmetry_space_group_name_H-M 'P 1 21/c 1'
_symmetry_Int_Tables_number 14
_symmetry_space_group_name_Hall '-P 2ybc'
_cell_length_a 7.515
_cell_length_b 8.781
_cell_length_c 8.367
_cell_angle_alpha 90.00
_cell_angle_beta 100.76
_cell_angle_gamma 90.00
loop_
_atom_site_label
_atom_site_type_symbol
_atom_site_fract_x
_atom_site_fract_y
_atom_site_fract_z
_atom_site_occupancy
Cs1 Cs 0.203 0.148 0.382 1
Pb1 Pb 0.313 0.647 0.473 1
S1 S 0.000 0.000 0.000 1
S2 S 0.448 0.040 0.771 1
```

Peak list (6 most intense, 10 to 90 degrees two-theta, by intensity)
25.0 deg, 3.561 Å, I = 100, hkl 1 2 -1
26.9 deg, 3.312 Å, I = 55, hkl 1 2 1
42.6 deg, 2.124 Å, I = 33, hkl 2 2 -3
22.7 deg, 3.915 Å, I = 33, hkl 1 0 -2
26.2 deg, 3.403 Å, I = 30, hkl 2 1 0
28.6 deg, 3.119 Å, I = 29, hkl 1 1 2



# 4
Starting from a structure optimized by DFT (GGA-PBE), the XRD peak list of Cs5Pb2S4 was simulated for Cu Kα, 1.54184 Å.
Intensities are scaled so that the largest is 100.

Atomic structure:
```
data_Cs5Pb2S4
_symmetry_space_group_name_H-M 'C 1 2/m 1'
_symmetry_Int_Tables_number 12
_symmetry_space_group_name_Hall '-C 2y'
_cell_length_a 18.506
_cell_length_b 4.967
_cell_length_c 11.614
_cell_angle_alpha 90.00
_cell_angle_beta 98.52
_cell_angle_gamma 90.00
loop_
_atom_site_label
_atom_site_type_symbol
_atom_site_fract_x
_atom_site_fract_y
_atom_site_fract_z
_atom_site_occupancy
Cs1 Cs 0.000 0.000 0.000 1
Cs2 Cs 0.145 0.500 0.428 1
Cs3 Cs 0.199 0.500 0.829 1
Pb1 Pb 0.034 0.000 0.658 1
S1 S 0.020 0.500 0.781 1
S2 S 0.176 0.000 0.642 1
```

Peak list (6 most intense, 10 to 90 degrees two-theta, by intensity)
23.1 deg, 3.852 Å, I = 100, hkl 3 1 0
30.4 deg, 2.936 Å, I = 79, hkl 1 1 3
36.2 deg, 2.483 Å, I = 73, hkl 0 2 0
23.7 deg, 3.756 Å, I = 72, hkl 1 1 -2
23.8 deg, 3.734 Å, I = 58, hkl 2 0 -3
24.7 deg, 3.612 Å, I = 41, hkl 1 1 2



# 5
Starting from a structure optimized by DFT (GGA-PBE), the XRD peak list of CsPb3S was simulated for Cu Kα, 1.54184 Å.
Intensities are scaled so that the largest is 100.

Atomic structure:
```
data_CsPb3S
_symmetry_space_group_name_H-M 'P m -3 m'
_symmetry_Int_Tables_number 221
_symmetry_space_group_name_Hall '-P 4 2 3'
_cell_length_a 5.759
_cell_length_b 5.759
_cell_length_c 5.759
_cell_angle_alpha 90.00
_cell_angle_beta 90.00
_cell_angle_gamma 90.00
loop_
_atom_site_label
_atom_site_type_symbol
_atom_site_fract_x
_atom_site_fract_y
_atom_site_fract_z
_atom_site_occupancy
Cs1 Cs 0.000 0.000 0.000 1
Pb1 Pb 0.000 0.500 0.500 1
S1 S 0.500 0.500 0.500 1
```

Peak list (6 most intense, 10 to 90 degrees two-theta, by intensity)
26.8 deg, 3.325 Å, I = 100, hkl 1 1 1
31.1 deg, 2.880 Å, I = 62, hkl 2 0 0
52.7 deg, 1.736 Å, I = 49, hkl 3 1 1
44.5 deg, 2.036 Å, I = 47, hkl 2 2 0
73.5 deg, 1.288 Å, I = 22, hkl 4 2 0
71.4 deg, 1.321 Å, I = 20, hkl 3 3 1



# 6
Starting from a structure optimized by DFT (GGA-PBE), the XRD peak list of CsPb2S2 was simulated for Cu Kα, 1.54184 Å.
Intensities are scaled so that the largest is 100.

Atomic structure:
```
data_CsPb2S2
_symmetry_space_group_name_H-M 'P -3 m 1'
_symmetry_Int_Tables_number 164
_symmetry_space_group_name_Hall '-P 3 2"'
_cell_length_a 4.3200
_cell_length_b 4.3200
_cell_length_c 10.6411
_cell_angle_alpha 90.00
_cell_angle_beta 90.00
_cell_angle_gamma 120.00
loop_
_atom_site_label
_atom_site_type_symbol
_atom_site_fract_x
_atom_site_fract_y
_atom_site_fract_z
_atom_site_occupancy
Cs1 Cs 0.0000 0.0000 0.0000 1
Pb1 Pb 0.3333 0.6667 0.3597 1
S1 S 0.3333 0.6667 0.7669 1
```

Peak list (6 most intense, 10 to 90 degrees two-theta, by intensity)
29.2 deg, 3.060 Å, I = 100, hkl 1 0 2
25.2 deg, 3.529 Å, I = 93, hkl 0 1 1
49.4 deg, 1.844 Å, I = 47, hkl 2 0 1
41.8 deg, 2.160 Å, I = 41, hkl 1 1 0
25.1 deg, 3.547 Å, I = 31, hkl 0 0 3
41.7 deg, 2.168 Å, I = 25, hkl 0 1 4



# 7
Starting from a structure optimized by DFT (GGA-PBE), the XRD peak list of Cs2Te2Pb2S was simulated for Cu Kα, 1.54184 Å.
Intensities are scaled so that the largest is 100.

Atomic structure:
```
data_Cs2Te2Pb2S
_symmetry_space_group_name_H-M 'C 1 2/m 1'
_symmetry_Int_Tables_number 12
_symmetry_space_group_name_Hall '-C 2y'
_cell_length_a 15.823
_cell_length_b 5.278
_cell_length_c 8.974
_cell_angle_alpha 90.00
_cell_angle_beta 121.16
_cell_angle_gamma 90.00
loop_
_atom_site_label
_atom_site_type_symbol
_atom_site_fract_x
_atom_site_fract_y
_atom_site_fract_z
_atom_site_occupancy
Cs1 Cs 0.057 0.000 0.310 1
Te1 Te 0.182 0.500 0.718 1
Pb1 Pb 0.192 0.500 0.080 1
S1 S 0.000 0.500 0.000 1
```

Peak list (6 most intense, 10 to 90 degrees two-theta, by intensity)
26.0 deg, 3.430 Å, I = 100, hkl 3 1 0
26.6 deg, 3.347 Å, I = 88, hkl 1 1 -2
34.0 deg, 2.639 Å, I = 50, hkl 0 2 0
23.9 deg, 3.725 Å, I = 46, hkl 3 1 -1
37.3 deg, 2.409 Å, I = 39, hkl 5 1 0
23.2 deg, 3.829 Å, I = 39, hkl 1 1 1



# 8
Starting from a structure optimized by DFT (GGA-PBE), the XRD peak list of CsVPbS4 was simulated for Cu Kα, 1.54184 Å.
Intensities are scaled so that the largest is 100.

Atomic structure:
```
data_CsVPbS4
_symmetry_space_group_name_H-M 'P 1 21/m 1'
_symmetry_Int_Tables_number 11
_symmetry_space_group_name_Hall '-P 2yb'
_cell_length_a 6.873
_cell_length_b 7.002
_cell_length_c 9.355
_cell_angle_alpha 90.00
_cell_angle_beta 107.13
_cell_angle_gamma 90.00
loop_
_atom_site_label
_atom_site_type_symbol
_atom_site_fract_x
_atom_site_fract_y
_atom_site_fract_z
_atom_site_occupancy
Cs1 Cs 0.227 0.250 0.432 1
V1 V 0.292 0.750 0.172 1
Pb1 Pb 0.257 0.250 0.947 1
S1 S 0.099 0.750 0.945 1
S2 S 0.105 0.750 0.322 1
S3 S 0.493 0.504 0.206 1
```

Peak list (6 most intense, 10 to 90 degrees two-theta, by intensity)
18.5 deg, 4.790 Å, I = 100, hkl 1 1 0
25.4 deg, 3.501 Å, I = 63, hkl 0 2 0
37.6 deg, 2.395 Å, I = 63, hkl 2 2 0
27.2 deg, 3.279 Å, I = 58, hkl 1 0 2
30.1 deg, 2.966 Å, I = 54, hkl 1 1 2
24.1 deg, 3.687 Å, I = 49, hkl 1 1 -2



# 9
Starting from a structure optimized by DFT (GGA-PBE), the XRD peak list of Cs5Sb4Pb4 was simulated for Cu Kα, 1.54184 Å.
Intensities are scaled so that the largest is 100.

Atomic structure:
```
data_Cs5Sb4Pb4
_symmetry_space_group_name_H-M 'I 4/m'
_symmetry_Int_Tables_number 87
_symmetry_space_group_name_Hall '-I 4'
_cell_length_a 14.600
_cell_length_b 14.600
_cell_length_c 5.486
_cell_angle_alpha 90.00
_cell_angle_beta 90.00
_cell_angle_gamma 90.00
loop_
_atom_site_label
_atom_site_type_symbol
_atom_site_fract_x
_atom_site_fract_y
_atom_site_fract_z
_atom_site_occupancy
Cs1 Cs 0.000 0.000 0.000 1
Cs2 Cs 0.144 0.208 0.500 1
Sb1 Sb 0.039 0.724 0.000 1
Pb1 Pb 0.059 0.601 0.500 1
```

Peak list (6 most intense, 10 to 90 degrees two-theta, by intensity)
27.4 deg, 3.259 Å, I = 100, hkl 2 3 1
34.8 deg, 2.578 Å, I = 39, hkl 3 4 1
30.0 deg, 2.975 Å, I = 30, hkl 1 4 1
32.6 deg, 2.743 Å, I = 29, hkl 0 0 2
31.2 deg, 2.863 Å, I = 28, hkl 5 1 0
45.8 deg, 1.981 Å, I = 20, hkl 5 1 2



# 10
Starting from a structure optimized by DFT (GGA-PBE), the XRD peak list of CsSbPb2 was simulated for Cu Kα, 1.54184 Å.
Intensities are scaled so that the largest is 100.

Atomic structure:
```
data_CsSbPb2
_symmetry_space_group_name_H-M 'P 4/n m m'
_symmetry_Int_Tables_number 129
_cell_length_a 5.204
_cell_length_b 5.204
_cell_length_c 11.988
_cell_angle_alpha 90.00
_cell_angle_beta 90.00
_cell_angle_gamma 90.00
loop_
_symmetry_equiv_pos_as_xyz
'x,y,z'
'-x,-y,-z'
'-y+1/2,x,z'
'y+1/2,-x,-z'
'-x+1/2,-y+1/2,z'
'x+1/2,y+1/2,-z'
'y,-x+1/2,z'
'-y,x+1/2,-z'
'x+1/2,-y,-z'
'-x+1/2,y,z'
'-y,-x,-z'
'y,x,z'
'-x,y+1/2,-z'
'x,-y+1/2,z'
'y+1/2,x+1/2,-z'
'-y+1/2,-x+1/2,z'
loop_
_atom_site_label
_atom_site_type_symbol
_atom_site_fract_x
_atom_site_fract_y
_atom_site_fract_z
_atom_site_occupancy
Cs1 Cs 0.250 0.250 0.233 1
Sb1 Sb 0.250 0.250 0.671 1
Pb1 Pb 0.250 0.250 0.937 1
Pb2 Pb 0.250 0.750 0.500 1
```

Peak list (6 most intense, 10 to 90 degrees two-theta, by intensity)
34.5 deg, 2.600 Å, I = 100, hkl 2 0 0
25.3 deg, 3.518 Å, I = 75, hkl 1 1 1
49.6 deg, 1.839 Å, I = 50, hkl 2 2 0
28.2 deg, 3.169 Å, I = 44, hkl 1 0 3
33.1 deg, 2.707 Å, I = 42, hkl 1 1 3
28.5 deg, 3.136 Å, I = 30, hkl 1 1 2



# 11
Starting from a structure optimized by DFT (GGA-PBE), the XRD peak list of CsSb2Pb was simulated for Cu Kα, 1.54184 Å.
Intensities are scaled so that the largest is 100.

Atomic structure:
```
data_CsSb2Pb
_symmetry_space_group_name_H-M 'F m m 2'
_symmetry_Int_Tables_number 42
_symmetry_space_group_name_Hall 'F 2 -2'
_cell_length_a 7.428
_cell_length_b 28.670
_cell_length_c 6.754
_cell_angle_alpha 90.00
_cell_angle_beta 90.00
_cell_angle_gamma 90.00
loop_
_atom_site_label
_atom_site_type_symbol
_atom_site_fract_x
_atom_site_fract_y
_atom_site_fract_z
_atom_site_occupancy
Cs1 Cs 0.000 0.108 0.000 1
Sb1 Sb 0.000 0.183 0.501 1
Sb2 Sb 0.188 0.000 0.618 1
Pb1 Pb 0.250 0.250 0.251 1
```

Peak list (6 most intense, 10 to 90 degrees two-theta, by intensity)
27.1 deg, 3.296 Å, I = 100, hkl 2 4 0
23.6 deg, 3.767 Å, I = 92, hkl 1 5 1
12.3 deg, 7.167 Å, I = 50, hkl 0 4 0
36.5 deg, 2.460 Å, I = 46, hkl 2 2 2
35.9 deg, 2.498 Å, I = 45, hkl 2 0 2
29.2 deg, 3.055 Å, I = 45, hkl 0 4 2



# 12
Starting from a structure optimized by DFT (GGA-PBE), the XRD peak list of Cs3Zn2Sb4Pb2 was simulated for Cu Kα, 1.54184 Å.
Intensities are scaled so that the largest is 100.

Atomic structure:
```
data_Cs3Zn2Sb4Pb2
_symmetry_space_group_name_H-M 'P -3 m 1'
_symmetry_Int_Tables_number 164
_symmetry_space_group_name_Hall '-P 3 2"'
_cell_length_a 4.6275
_cell_length_b 4.6275
_cell_length_c 23.5841
_cell_angle_alpha 90.00
_cell_angle_beta 90.00
_cell_angle_gamma 120.00
loop_
_atom_site_label
_atom_site_type_symbol
_atom_site_fract_x
_atom_site_fract_y
_atom_site_fract_z
_atom_site_occupancy
Cs1 Cs 0.0000 0.0000 0.0000 1
Cs2 Cs 0.0000 0.0000 0.2602 1
Zn1 Zn 0.3333 0.6667 0.1294 1
Sb1 Sb 0.3333 0.6667 0.3775 1
Sb2 Sb 0.3333 0.6667 0.8709 1
Pb1 Pb 0.3333 0.6667 0.5615 1
```

Peak list (6 most intense, 10 to 90 degrees two-theta, by intensity)
26.9 deg, 3.314 Å, I = 100, hkl 0 1 4
38.9 deg, 2.314 Å, I = 64, hkl 1 1 0
31.9 deg, 2.806 Å, I = 33, hkl 0 1 6
24.9 deg, 3.570 Å, I = 32, hkl 1 0 3
29.2 deg, 3.054 Å, I = 22, hkl 1 0 5
47.7 deg, 1.907 Å, I = 21, hkl 1 1 7



# 13
Starting from a structure optimized by DFT (GGA-PBE), the XRD peak list of CsSc3Pb was simulated for Cu Kα, 1.54184 Å.
Intensities are scaled so that the largest is 100.

Atomic structure:
```
data_CsSc3Pb
_symmetry_space_group_name_H-M 'P m -3 m'
_symmetry_Int_Tables_number 221
_symmetry_space_group_name_Hall '-P 4 2 3'
_cell_length_a 5.724
_cell_length_b 5.724
_cell_length_c 5.724
_cell_angle_alpha 90.00
_cell_angle_beta 90.00
_cell_angle_gamma 90.00
loop_
_atom_site_label
_atom_site_type_symbol
_atom_site_fract_x
_atom_site_fract_y
_atom_site_fract_z
_atom_site_occupancy
Cs1 Cs 0.000 0.000 0.000 1
Sc1 Sc 0.000 0.500 0.500 1
Pb1 Pb 0.500 0.500 0.500 1
```

Peak list (6 most intense, 10 to 90 degrees two-theta, by intensity)
22.0 deg, 4.048 Å, I = 100, hkl 1 1 0
31.3 deg, 2.862 Å, I = 56, hkl 2 0 0
38.5 deg, 2.337 Å, I = 49, hkl 2 1 1
44.8 deg, 2.024 Å, I = 41, hkl 2 2 0
60.5 deg, 1.530 Å, I = 27, hkl 3 2 1
50.4 deg, 1.810 Å, I = 23, hkl 3 1 0



# 14
Starting from a structure optimized by DFT (GGA-PBE), the XRD peak list of CsScPb2 was simulated for Cu Kα, 1.54184 Å.
Intensities are scaled so that the largest is 100.

Atomic structure:
```
data_CsScPb2
_symmetry_space_group_name_H-M 'P 4/m m m'
_symmetry_Int_Tables_number 123
_symmetry_space_group_name_Hall '-P 4 2'
_cell_length_a 3.979
_cell_length_b 3.979
_cell_length_c 8.681
_cell_angle_alpha 90.00
_cell_angle_beta 90.00
_cell_angle_gamma 90.00
loop_
_atom_site_label
_atom_site_type_symbol
_atom_site_fract_x
_atom_site_fract_y
_atom_site_fract_z
_atom_site_occupancy
Cs1 Cs 0.000 0.000 0.000 1
Sc1 Sc 0.000 0.000 0.500 1
Pb1 Pb 0.500 0.500 0.323 1
```

Peak list (6 most intense, 10 to 90 degrees two-theta, by intensity)
30.5 deg, 2.933 Å, I = 100, hkl 1 0 2
31.8 deg, 2.814 Å, I = 85, hkl 1 1 0
24.6 deg, 3.617 Å, I = 66, hkl 1 0 1
44.9 deg, 2.017 Å, I = 46, hkl 1 1 3
55.8 deg, 1.647 Å, I = 36, hkl 2 1 2
30.9 deg, 2.894 Å, I = 32, hkl 0 0 3